Record 1
# BaNaSmSeO6
Simulated XRD peak list, Cu Kα X-rays. Input: a crystal structure in the Materials Project, relaxed with PBE.

Structure:
```
data_BaNaSmSeO6
_cell_length_a 5.830
_cell_length_b 5.830
_cell_length_c 5.830
_cell_angle_alpha 60.00
_cell_angle_beta 60.00
_cell_angle_gamma 60.00
_symmetry_space_group_name_H-M 'P 1'
_symmetry_Int_Tables_number 1
_symmetry_space_group_name_Hall 'P 1'
loop_
_atom_site_label
_atom_site_fract_x
_atom_site_fract_y
_atom_site_fract_z
Ba1 0.000 0.000 0.000
Na1 0.500 0.500 0.500
Sm1 0.750 0.750 0.750
Se1 0.250 0.250 0.250
O1 0.027 0.027 0.473
O2 0.027 0.473 0.027
O3 0.027 0.473 0.473
O4 0.473 0.027 0.027
O5 0.473 0.027 0.473
O6 0.473 0.473 0.027
```

Top 10 peaks for 2θ from 10° to 90°, in order of falling intensity:
2theta  I_rel
30.7  100
54.5  39
43.9  33
18.6  25
88.8  22
63.9  19
72.5  18
36.1  17
21.6  12
48.1  9



Record 2
# Ti2In3Br9
Simulated XRD peak list, Cu Kα X-rays. Input: a crystal structure in the Materials Project, relaxed with PBE.

Structure:
```
data_Ti2In3Br9
_cell_length_a 7.518
_cell_length_b 7.518
_cell_length_c 18.448
_cell_angle_alpha 90.00
_cell_angle_beta 90.00
_cell_angle_gamma 120.00
_symmetry_space_group_name_H-M 'P 1'
_symmetry_Int_Tables_number 1
_symmetry_space_group_name_Hall 'P 1'
loop_
_atom_site_label
_atom_site_fract_x
_atom_site_fract_y
_atom_site_fract_z
Ti1 0.333 0.667 0.000
Ti2 0.333 0.667 0.172
Ti3 0.667 0.333 0.500
Ti4 0.667 0.333 0.672
In1 0.000 0.000 0.111
In2 0.000 0.000 0.611
In3 0.333 0.667 0.391
In4 0.333 0.667 0.790
In5 0.667 0.333 0.290
In6 0.667 0.333 0.891
Br1 0.011 0.506 0.087
Br2 0.172 0.344 0.250
Br3 0.172 0.828 0.250
Br4 0.173 0.346 0.923
Br5 0.173 0.827 0.923
Br6 0.344 0.172 0.750
Br7 0.346 0.173 0.423
Br8 0.494 0.506 0.087
Br9 0.494 0.989 0.087
Br10 0.506 0.011 0.587
Br11 0.506 0.494 0.587
Br12 0.654 0.827 0.923
Br13 0.656 0.828 0.250
Br14 0.827 0.173 0.423
Br15 0.827 0.654 0.423
Br16 0.828 0.172 0.750
Br17 0.828 0.656 0.750
Br18 0.989 0.494 0.587
```

Top 10 peaks for 2θ from 10° to 90°, in order of falling intensity:
2theta  I_rel
29.1  100
31.1  71
48.4  55
33.7  38
57.5  35
36.8  33
27.8  24
14.4  14
58.7  13
44.2  13



Record 3
# TcC5ClO5
Simulated XRD peak list, Cu Kα X-rays. Input: a crystal structure in the Materials Project, relaxed with PBE.

Structure:
```
data_TcC5ClO5
_cell_length_a 11.729
_cell_length_b 11.786
_cell_length_c 6.067
_cell_angle_alpha 90.00
_cell_angle_beta 90.00
_cell_angle_gamma 90.00
_symmetry_space_group_name_H-M 'P 1'
_symmetry_Int_Tables_number 1
_symmetry_space_group_name_Hall 'P 1'
loop_
_atom_site_label
_atom_site_fract_x
_atom_site_fract_y
_atom_site_fract_z
Tc1 0.125 0.250 0.051
Tc2 0.375 0.750 0.551
Tc3 0.625 0.250 0.449
Tc4 0.875 0.750 0.949
C1 0.028 0.250 0.795
C2 0.029 0.129 0.191
C3 0.029 0.371 0.191
C4 0.224 0.129 0.917
C5 0.224 0.371 0.917
C6 0.276 0.629 0.417
C7 0.276 0.871 0.417
C8 0.471 0.629 0.691
C9 0.471 0.871 0.691
C10 0.472 0.750 0.295
C11 0.528 0.250 0.705
C12 0.529 0.129 0.309
C13 0.529 0.371 0.309
C14 0.724 0.129 0.583
C15 0.724 0.371 0.583
C16 0.776 0.629 0.083
C17 0.776 0.871 0.083
C18 0.971 0.629 0.809
C19 0.971 0.871 0.809
C20 0.972 0.750 0.205
Cl1 0.249 0.750 0.881
Cl2 0.251 0.250 0.381
Cl3 0.749 0.750 0.619
Cl4 0.751 0.250 0.119
O1 0.024 0.556 0.735
O2 0.024 0.944 0.735
O3 0.031 0.750 0.358
O4 0.220 0.559 0.341
O5 0.220 0.941 0.341
O6 0.280 0.059 0.841
O7 0.280 0.441 0.841
O8 0.469 0.250 0.858
O9 0.476 0.056 0.235
O10 0.476 0.444 0.235
O11 0.524 0.556 0.765
O12 0.524 0.944 0.765
O13 0.531 0.750 0.142
O14 0.720 0.559 0.159
O15 0.720 0.941 0.159
O16 0.780 0.059 0.659
O17 0.780 0.441 0.659
O18 0.969 0.250 0.642
O19 0.976 0.056 0.265
O20 0.976 0.444 0.265
```

Top 10 peaks for 2θ from 10° to 90°, in order of falling intensity:
2theta  I_rel
16.9  100
15.0  88
31.1  87
18.1  73
16.4  62
28.2  43
22.4  43
35.6  43
34.1  36
27.3  35



Record 4
# SbBr6N2
Simulated XRD peak list, Cu Kα X-rays. Input: a crystal structure in the Materials Project, relaxed with PBE.

Structure:
```
data_SbBr6N2
_cell_length_a 7.637
_cell_length_b 7.637
_cell_length_c 7.637
_cell_angle_alpha 60.00
_cell_angle_beta 60.00
_cell_angle_gamma 60.00
_symmetry_space_group_name_H-M 'P 1'
_symmetry_Int_Tables_number 1
_symmetry_space_group_name_Hall 'P 1'
loop_
_atom_site_label
_atom_site_fract_x
_atom_site_fract_y
_atom_site_fract_z
Sb1 0.000 0.000 0.000
Br1 0.240 0.240 0.760
Br2 0.240 0.760 0.240
Br3 0.240 0.760 0.760
Br4 0.760 0.240 0.240
Br5 0.760 0.240 0.760
Br6 0.760 0.760 0.240
N1 0.250 0.250 0.250
N2 0.750 0.750 0.750
```

Top 10 peaks for 2θ from 10° to 90°, in order of falling intensity:
2theta  I_rel
33.2  100
16.4  93
28.6  77
47.6  69
14.2  61
37.2  47
56.5  29
79.3  28
50.7  24
59.3  23



Record 5
# Er3Pb4F17
Simulated XRD peak list, Cu Kα X-rays. Input: a crystal structure in the Materials Project, relaxed with PBE.

Structure:
```
data_Er3Pb4F17
_cell_length_a 9.152
_cell_length_b 9.153
_cell_length_c 9.203
_cell_angle_alpha 72.97
_cell_angle_beta 73.22
_cell_angle_gamma 73.15
_symmetry_space_group_name_H-M 'P 1'
_symmetry_Int_Tables_number 1
_symmetry_space_group_name_Hall 'P 1'
loop_
_atom_site_label
_atom_site_fract_x
_atom_site_fract_y
_atom_site_fract_z
Er1 0.000 0.000 0.000
Er2 0.055 0.791 0.660
Er3 0.130 0.583 0.289
Er4 0.339 0.924 0.218
Er5 0.686 0.869 0.430
Er6 0.917 0.238 0.354
Pb1 0.214 0.358 0.929
Pb2 0.259 0.138 0.559
Pb3 0.422 0.711 0.864
Pb4 0.479 0.505 0.507
Pb5 0.560 0.295 0.133
Pb6 0.623 0.092 0.790
Pb7 0.785 0.666 0.087
Pb8 0.835 0.436 0.723
F1 0.015 0.445 0.182
F2 0.032 0.362 0.466
F3 0.069 0.218 0.804
F4 0.073 0.736 0.064
F5 0.084 0.873 0.269
F6 0.117 0.606 0.525
F7 0.166 0.908 0.779
F8 0.176 0.142 0.278
F9 0.245 0.989 0.002
F10 0.266 0.849 0.479
F11 0.269 0.609 0.740
F12 0.311 0.483 0.081
F13 0.341 0.380 0.372
F14 0.347 0.676 0.229
F15 0.385 0.263 0.685
F16 0.436 0.139 0.042
F17 0.478 0.042 0.334
F18 0.506 0.946 0.642
F19 0.527 0.388 0.832
F20 0.545 0.851 0.004
F21 0.564 0.757 0.315
F22 0.608 0.654 0.612
F23 0.663 0.536 0.960
F24 0.704 0.420 0.278
F25 0.736 0.312 0.567
F26 0.739 0.097 0.402
F27 0.784 0.183 0.914
F28 0.786 0.940 0.172
F29 0.829 0.812 0.608
F30 0.870 0.663 0.366
F31 0.880 0.892 0.865
F32 0.946 0.193 0.122
F33 0.976 0.579 0.842
F34 0.983 0.050 0.557
```

Top 10 peaks for 2θ from 10° to 90°, in order of falling intensity:
2theta  I_rel
26.5  100
30.8  56
26.4  51
26.8  47
43.8  36
30.7  29
51.9  27
43.9  19
44.1  17
52.1  17



Record 6
# YHoAl2
Simulated XRD peak list, Cu Kα X-rays. Input: a crystal structure in the Materials Project, relaxed with PBE.

Structure:
```
data_YHoAl2
_cell_length_a 5.082
_cell_length_b 5.082
_cell_length_c 5.082
_cell_angle_alpha 60.00
_cell_angle_beta 60.00
_cell_angle_gamma 60.00
_symmetry_space_group_name_H-M 'P 1'
_symmetry_Int_Tables_number 1
_symmetry_space_group_name_Hall 'P 1'
loop_
_atom_site_label
_atom_site_fract_x
_atom_site_fract_y
_atom_site_fract_z
Y1 0.000 0.000 0.000
Ho1 0.500 0.500 0.500
Al1 0.250 0.250 0.250
Al2 0.750 0.750 0.750
```

Top 10 peaks for 2θ from 10° to 90°, in order of falling intensity:
2theta  I_rel
35.3  100
24.8  52
63.4  36
57.3  21
50.8  18
85.4  16
43.6  16
21.4  12
74.7  11
80.1  10



Number 1 is which compound?
BaNaSmSeO6